# 1
This entry pairs a crystal structure of CsZn3F9 with its calculated XRD peak list. Radiation: a wavelength of 1.5418 Å. Structure: DFT lattice parameters and positions (PBE).
Peak positions follow from Bragg's law for the DFT cell and can differ from measured ones.

Atomic structure:
Cell: 7.5404 7.5404 3.9367 Å, 90.00 90.00 120.00°
Space group P6/mmm (No. 191)
Unique sites:
Cs1 0.0000 0.0000 0.0000
Zn1 0.0000 0.5000 0.5000
F1 0.0000 0.5000 0.0000
F2 0.2033 0.4066 0.5000

Principal peaks in the range 10 to 90 degrees two-theta, sorted by position:
26.44 deg, rel. 635
27.31 deg, rel. 1000
32.89 deg, rel. 404
46.11 deg, rel. 163
47.74 deg, rel. 182
48.28 deg, rel. 332
54.43 deg, rel. 279
55.88 deg, rel. 183
56.36 deg, rel. 160
68.98 deg, rel. 204

=====

# 2
This entry pairs a crystal structure of Cs2ZnF6 with its calculated XRD peak list. Radiation: a wavelength of 1.5418 Å. Structure: DFT lattice parameters and positions (PBE).
Peak positions follow from Bragg's law for the DFT cell and can differ from measured ones.

Atomic structure:
Cell: 6.3655 6.3655 10.3429 Å, 90.00 90.00 120.00°
Space group P6_3mc (No. 186)
Unique sites:
Cs1 0.0000 0.0000 0.0000
Cs2 0.3333 0.6667 0.2726
Zn1 0.3333 0.6667 0.6564
F1 0.0504 0.5252 0.5464
F2 0.1869 0.3739 0.7579

Principal peaks in the range 10 to 90 degrees two-theta, sorted by position:
18.24 deg, rel. 252
23.59 deg, rel. 1000
28.03 deg, rel. 807
30.58 deg, rel. 282
33.65 deg, rel. 162
36.96 deg, rel. 671
41.97 deg, rel. 233
47.02 deg, rel. 251
57.95 deg, rel. 192
63.41 deg, rel. 261

=====

# 3
This entry pairs a crystal structure of Cs2ZrF with its calculated XRD peak list. Radiation: a wavelength of 1.5418 Å. Structure: DFT lattice parameters and positions (PBE).
Peak positions follow from Bragg's law for the DFT cell and can differ from measured ones.

Atomic structure:
Cell: 4.961 8.197 11.263 Å, 76.01 85.62 89.90°
Space group P-1 (No. 2)
Unique sites:
Cs1 0.207 0.299 0.348
Cs2 0.279 0.132 0.841
Zr1 0.249 0.571 0.001
F1 0.242 0.810 0.041

Principal peaks in the range 10 to 90 degrees two-theta, sorted by position:
21.31 deg, rel. 311
21.88 deg, rel. 1000
22.05 deg, rel. 281
23.33 deg, rel. 244
24.30 deg, rel. 464
25.25 deg, rel. 203
30.86 deg, rel. 199
32.06 deg, rel. 239
36.34 deg, rel. 249
36.80 deg, rel. 196

=====

# 4
This entry pairs a crystal structure of Cs2Ga4Fe with its calculated XRD peak list. Radiation: a wavelength of 1.5418 Å. Structure: DFT lattice parameters and positions (PBE).
Peak positions follow from Bragg's law for the DFT cell and can differ from measured ones.

Atomic structure:
Cell: 4.738 4.738 19.619 Å, 90.00 90.00 90.00°
Space group I4/mmm (No. 139)
Unique sites:
Cs1 0.000 0.000 0.166
Ga1 0.000 0.000 0.385
Ga2 0.000 0.500 0.000
Fe1 0.000 0.000 0.500

Principal peaks in the range 10 to 90 degrees two-theta, sorted by position:
23.18 deg, rel. 985
26.60 deg, rel. 637
27.27 deg, rel. 502
28.14 deg, rel. 417
29.56 deg, rel. 357
32.36 deg, rel. 1000
37.98 deg, rel. 904
45.82 deg, rel. 609
47.39 deg, rel. 429
60.98 deg, rel. 496

=====

# 5
This entry pairs a crystal structure of CsFeGe2I8 with its calculated XRD peak list. Radiation: a wavelength of 1.5418 Å. Structure: DFT lattice parameters and positions (PBE).
Peak positions follow from Bragg's law for the DFT cell and can differ from measured ones.

Atomic structure:
Cell: 7.306 8.070 10.527 Å, 71.54 76.50 72.53°
Space group P-1 (No. 2)
Unique sites:
Cs1 0.000 0.000 0.000
Fe1 0.000 0.000 0.500
Ge1 0.438 0.421 0.230
I1 0.175 0.717 0.732
I2 0.239 0.825 0.330
I3 0.259 0.216 0.470
I4 0.434 0.250 0.042

Principal peaks in the range 10 to 90 degrees two-theta, sorted by position:
12.88 deg, rel. 471
15.25 deg, rel. 515
23.98 deg, rel. 458
25.89 deg, rel. 615
26.07 deg, rel. 1000
26.25 deg, rel. 463
27.38 deg, rel. 634
27.56 deg, rel. 470
29.61 deg, rel. 884
32.77 deg, rel. 449

=====

# 6
This entry pairs a crystal structure of CsFe2H8 with its calculated XRD peak list. Radiation: a wavelength of 1.5418 Å. Structure: DFT lattice parameters and positions (PBE).
Peak positions follow from Bragg's law for the DFT cell and can differ from measured ones.

Atomic structure:
Cell: 6.224 7.660 4.515 Å, 90.00 90.00 90.00°
Space group Amm2 (No. 38)
Unique sites:
Cs1 0.000 0.000 0.000
Fe1 0.500 0.181 0.564
H1 0.328 0.210 0.283
H2 0.346 0.000 0.539
H3 0.500 0.124 0.926

Principal peaks in the range 10 to 90 degrees two-theta, sorted by position:
22.86 deg, rel. 170
27.03 deg, rel. 1000
27.34 deg, rel. 665
28.68 deg, rel. 418
39.93 deg, rel. 141
40.59 deg, rel. 290
49.08 deg, rel. 209
49.85 deg, rel. 385
50.46 deg, rel. 309
66.14 deg, rel. 118